[1]
For SrYCoO4, a structure optimized by DFT (PBE+U) gives the simulated powder diffractogram in this record (CuKα).

Main lines, by angle (10 to 90 degrees two-theta):
2θ (°)	I (rel.)	hkl
32.11	1000	1 1 6
33.26	750	2 0 0
43.88	189	1 1 10
44.28	141	0 0 12
44.77	226	2 0 8
47.75	410	2 2 0
56.49	156	2 0 12
58.70	359	3 1 6
67.15	142	2 2 12
69.83	118	4 0 0

Structure:
abc: 5.387 5.387 24.546
angles: 90.00 90.00 90.00
Space group I4_1 (No. 80)
Symmetry-distinct sites (fractional):
Sr1 0.000 0.000 0.000 (multiplicity 4)
Sr2 0.000 0.000 0.499 (multiplicity 4)
Y1 0.000 0.000 0.358 (multiplicity 4)
Y2 0.000 0.000 0.858 (multiplicity 4)
Co1 0.000 0.000 0.177 (multiplicity 4)
Co2 0.000 0.000 0.679 (multiplicity 4)
O1 0.000 0.000 0.097 (multiplicity 4)
O2 0.000 0.000 0.265 (multiplicity 4)
O3 0.000 0.000 0.594 (multiplicity 4)
O4 0.000 0.000 0.768 (multiplicity 4)
O5 0.242 0.242 0.171 (multiplicity 8)
O6 0.243 0.743 0.922 (multiplicity 8)

[2]
For NaVP2O8, a structure optimized by DFT (PBE+U) gives the simulated powder diffractogram in this record (CuKα).

Main lines, by angle (10 to 90 degrees two-theta):
2θ (°)	I (rel.)	hkl
12.90	1000	0 2 0
15.71	352	0 1 1
18.32	282	1 1 -1
19.32	431	0 2 1
21.51	217	1 2 -1
22.73	494	1 3 0
23.56	430	2 0 0
26.00	297	1 3 -1
26.95	237	2 2 0
32.30	304	2 2 1

Structure:
abc: 7.636 13.725 6.254
angles: 90.00 98.48 90.00
Space group P2_1/c (No. 14)
Symmetry-distinct sites (fractional):
Na1 0.083 0.204 0.155 (multiplicity 4)
V1 0.239 0.576 0.767 (multiplicity 4)
P1 0.171 0.517 0.253 (multiplicity 4)
P2 0.360 0.131 0.534 (multiplicity 4)
O1 0.029 0.019 0.241 (multiplicity 4)
O2 0.109 0.670 0.699 (multiplicity 4)
O3 0.218 0.588 0.080 (multiplicity 4)
O4 0.228 0.090 0.700 (multiplicity 4)
O5 0.272 0.542 0.478 (multiplicity 4)
O6 0.281 0.228 0.463 (multiplicity 4)
O7 0.365 0.055 0.358 (multiplicity 4)
O8 0.455 0.641 0.822 (multiplicity 4)

[3]
For K2W2O5, a structure optimized by DFT (PBE+U) gives the simulated powder diffractogram in this record (CuKα).

Main lines, by angle (10 to 90 degrees two-theta):
2θ (°)	I (rel.)	hkl
21.20	719	0 1 1
22.14	372	4 0 0
30.02	275	0 2 0
30.29	300	0 0 2
30.84	1000	4 1 1
43.16	242	0 2 2
45.17	143	8 0 0
50.41	178	8 1 1
54.15	156	4 1 3
64.23	160	8 2 2

Structure:
abc: 16.058 5.954 5.902
angles: 90.00 90.00 90.00
Space group Ima2 (No. 46)
Symmetry-distinct sites (fractional):
K1 0.107 0.019 0.000 (multiplicity 8)
W1 0.000 0.000 0.514 (multiplicity 4)
W2 0.250 0.562 0.944 (multiplicity 4)
O1 0.009 0.748 0.760 (multiplicity 8)
O2 0.137 0.039 0.519 (multiplicity 8)
O3 0.250 0.649 0.631 (multiplicity 4)

[4]
For LiV2Si2O8, a structure optimized by DFT (PBE+U) gives the simulated powder diffractogram in this record (CuKα).

Main lines, by angle (10 to 90 degrees two-theta):
2θ (°)	I (rel.)	hkl
19.75	410	0 0 2
20.78	1000	0 1 1
24.18	414	1 0 -2
25.04	978	1 1 1
34.29	479	2 0 -2
34.42	445	2 0 2
34.98	569	2 1 1
35.19	853	0 1 3
51.38	466	2 2 2
65.38	337	2 3 1

Structure:
abc: 6.413 4.859 8.989
angles: 90.00 90.21 90.00
Space group Pc (No. 7)
Symmetry-distinct sites (fractional):
Li1 0.000 0.227 0.000 (multiplicity 2)
V1 0.267 0.257 0.334 (multiplicity 2)
V2 0.752 0.252 0.334 (multiplicity 2)
Si1 0.001 0.275 0.657 (multiplicity 2)
Si2 0.503 0.225 0.012 (multiplicity 2)
O1 0.013 0.339 0.475 (multiplicity 2)
O2 0.014 0.050 0.213 (multiplicity 2)
O3 0.203 0.442 0.726 (multiplicity 2)
O4 0.293 0.065 0.948 (multiplicity 2)
O5 0.493 0.453 0.448 (multiplicity 2)
O6 0.496 0.177 0.196 (multiplicity 2)
O7 0.718 0.080 0.958 (multiplicity 2)
O8 0.795 0.427 0.715 (multiplicity 2)

[5]
For Eu3WO6, a structure optimized by DFT (PBE+U) gives the simulated powder diffractogram in this record (CuKα).

Main lines, by angle (10 to 90 degrees two-theta):
2θ (°)	I (rel.)	hkl
17.97	11	1 1 1
20.78	14	2 0 0
29.56	1000	2 2 0
42.29	275	4 0 0
52.44	409	4 2 2
61.35	174	4 4 0
69.56	184	6 2 0
77.34	58	4 4 4
84.89	220	6 4 2

Structure:
abc: 8.548 8.548 8.548
angles: 90.00 90.00 90.00
Space group Fm-3m (No. 225)
Symmetry-distinct sites (fractional):
Eu1 0.000 0.000 0.000 (multiplicity 4)
Eu2 0.250 0.250 0.250 (multiplicity 8)
W1 0.000 0.000 0.500 (multiplicity 4)
O1 0.000 0.000 0.271 (multiplicity 24)